The following is a theoretical powder XRD pattern of Li4Fe2Si3O10. It was derived from DFT lattice parameters and positions (PBE+U), using Cu Ka.

Atomic structure:
```
data_Li4Fe2Si3O10
_chemical_formula_sum 'Li16 Fe8 Si12 O40'
_symmetry_space_group_name_H-M 'C 1 2/c 1'
_symmetry_Int_Tables_number 15
_symmetry_space_group_name_Hall '-C 2yc'
_cell_length_a 9.2575
_cell_length_b 5.4291
_cell_length_c 17.2145
_cell_angle_alpha 90.00
_cell_angle_beta 99.46
_cell_angle_gamma 90.00
loop_
_atom_site_label
_atom_site_fract_x
_atom_site_fract_y
_atom_site_fract_z
Li1 0.1856 0.1085 0.2283
Li2 0.2452 0.4278 0.4482
Fe1 0.1043 0.4076 0.0841
Si1 0.0000 0.3857 0.7500
Si2 0.0639 0.0968 0.9012
O1 0.0683 0.3519 0.9527
O2 0.0951 0.1859 0.8122
O3 0.0965 0.0400 0.1097
O4 0.1223 0.4594 0.2131
O5 0.2015 0.0825 0.4346
```

The 8 most intense peaks (10° ≤ 2θ ≤ 90°), sorted by position:
index	2theta	Rel. int.
0 0 2	10.4	51.6
1 1 -1	19.3	68.0
2 0 0	19.4	58.6
1 1 -2	20.9	65.5
1 1 2	22.5	48.9
1 1 -4	27.2	52.2
0 0 6	31.6	88.6
3 1 -1	33.4	100.0